Starting from a structure optimized by DFT (GGA-PBE), the PXRD pattern of GeH6CI3N was simulated for λ = 1.5418 Å (Cu Kα).

Largest 12 diffraction maxima, low angle first, 10° ≤ 2θ ≤ 80°:
hkl  2theta  d [Å]  I_rel
0 0 2  14.3  6.190  40
1 1 0  14.5  6.097  62
0 2 2  25.1  3.548  66
2 0 -2  25.3  3.527  65
0 0 4  28.8  3.095  43
2 -2 0  29.3  3.048  100
2 -2 2  32.8  2.729  32
2 2 4  41.4  2.183  16
2 -2 4  41.6  2.171  32
0 4 0  41.9  2.156  36
0 4 4  51.5  1.774  17
4 0 -4  51.8  1.764  16

Atomic structure:
```
data_GeH6CI3N
_chemical_formula_sum 'Ge4 H24 C4 I12 N4'
_cell_length_a 8.6186
_cell_length_b 8.6263
_cell_length_c 12.3809
_cell_angle_alpha 89.63
_cell_angle_beta 89.63
_cell_angle_gamma 89.91
_symmetry_space_group_name_H-M 'P 1'
_symmetry_Int_Tables_number 1
loop_
_symmetry_equiv_pos_as_xyz
'x,y,z'
loop_
_atom_site_label
_atom_site_type_symbol
_atom_site_fract_x
_atom_site_fract_y
_atom_site_fract_z
Ge1 Ge 0.0000 0.0000 0.0000
Ge2 Ge 0.0006 0.0047 0.5000
Ge3 Ge 0.4995 0.4997 0.0000
Ge4 Ge 0.5071 0.5042 0.5000
H1 H 0.0297 0.3860 0.6834
H2 H 0.0515 0.6041 0.3633
H3 H 0.0716 0.4124 0.3621
H4 H 0.0829 0.5872 0.6802
H5 H 0.1132 0.4796 0.8607
H6 H 0.1198 0.5123 0.1812
H7 H 0.3827 0.0272 0.1852
H8 H 0.3835 0.0385 0.6854
H9 H 0.4231 0.9200 0.8645
H10 H 0.4301 0.9194 0.3670
H11 H 0.4656 0.1090 0.3629
H12 H 0.4698 0.1069 0.8654
H13 H 0.5241 0.8849 0.6836
H14 H 0.5341 0.8847 0.1851
H15 H 0.5822 0.0873 0.1809
H16 H 0.5868 0.0833 0.6819
H17 H 0.6092 0.9703 0.8628
H18 H 0.6129 0.9831 0.3627
H19 H 0.8820 0.5324 0.6849
H20 H 0.8944 0.4914 0.3653
H21 H 0.9292 0.4196 0.8658
H22 H 0.9337 0.6066 0.1842
H23 H 0.9457 0.3989 0.1838
H24 H 0.9685 0.6086 0.8633
C1 C 0.0007 0.5047 0.2116
C2 C 0.4992 0.0025 0.7121
C3 C 0.5001 0.9999 0.2121
C4 C 0.9989 0.5018 0.7113
I1 I 0.0024 0.0018 0.7225
I2 I 0.0028 0.0024 0.2226
I3 I 0.2463 0.2575 0.4877
I4 I 0.2504 0.7467 0.9878
I5 I 0.2587 0.7572 0.4883
I6 I 0.2672 0.2533 0.9890
I7 I 0.5021 0.5019 0.7225
I8 I 0.5050 0.5019 0.2225
I9 I 0.7474 0.2458 0.4891
I10 I 0.7546 0.7659 0.9878
I11 I 0.7592 0.7446 0.4887
I12 I 0.7625 0.2585 0.9891
N1 N 0.0034 0.5031 0.8317
N2 N 0.0040 0.5034 0.3320
N3 N 0.5013 0.0006 0.8326
N4 N 0.5030 0.0034 0.3326
```


Starting from a structure optimized by DFT (GGA-PBE), the PXRD pattern of Tb3Cu4Si4 was simulated for λ = 1.5418 Å (Cu Kα).

Largest 12 diffraction maxima, low angle first, 10° ≤ 2θ ≤ 80°:
hkl  2theta  d [Å]  I_rel
1 0 1  22.3  3.981  18
0 1 3  23.7  3.760  26
1 1 2  28.5  3.129  23
0 1 5  35.4  2.539  30
1 2 1  35.5  2.531  89
1 1 4  36.6  2.458  100
0 0 6  39.3  2.295  22
1 2 3  40.2  2.246  18
2 0 0  43.5  2.079  34
0 3 3  46.0  1.974  35
1 2 7  59.1  1.563  18
2 3 3  65.2  1.431  24

Atomic structure:
```
data_Tb3Cu4Si4
_chemical_formula_sum 'Tb6 Cu8 Si8'
_cell_length_a 4.1588
_cell_length_b 6.5581
_cell_length_c 13.7684
_cell_angle_alpha 90.00
_cell_angle_beta 90.00
_cell_angle_gamma 90.00
_symmetry_space_group_name_H-M 'I m m m'
_symmetry_Int_Tables_number 71
_symmetry_space_group_name_Hall '-I 2 2'
loop_
_atom_site_label
_atom_site_type_symbol
_atom_site_fract_x
_atom_site_fract_y
_atom_site_fract_z
Tb1 Tb 0.0000 0.0000 0.0000
Tb2 Tb 0.0000 0.5000 0.1300
Cu1 Cu 0.0000 0.3099 0.3320
Si1 Si 0.0000 0.0000 0.2159
Si2 Si 0.0000 0.1841 0.5000
```


Starting from a structure optimized by DFT (GGA-PBE), the PXRD pattern of Tm2CuRu was simulated for λ = 1.5418 Å (Cu Kα).

Largest 8 diffraction maxima, low angle first, 10° ≤ 2θ ≤ 80°:
hkl  2theta  d [Å]  I_rel
1 1 1  22.8  3.894  1
2 0 0  26.4  3.373  13
2 2 0  37.7  2.385  100
3 1 1  44.6  2.034  1
2 2 2  46.6  1.947  4
4 0 0  54.4  1.686  17
4 2 0  61.5  1.508  5
4 2 2  68.1  1.377  35

Atomic structure:
```
data_Tm2CuRu
_chemical_formula_sum 'Tm8 Cu4 Ru4'
_cell_length_a 6.7450
_cell_length_b 6.7450
_cell_length_c 6.7450
_cell_angle_alpha 90.00
_cell_angle_beta 90.00
_cell_angle_gamma 90.00
_symmetry_space_group_name_H-M 'F m -3 m'
_symmetry_Int_Tables_number 225
_symmetry_space_group_name_Hall '-F 4 2 3'
loop_
_atom_site_label
_atom_site_type_symbol
_atom_site_fract_x
_atom_site_fract_y
_atom_site_fract_z
Tm1 Tm 0.2500 0.2500 0.2500
Cu1 Cu 0.0000 0.0000 0.0000
Ru1 Ru 0.0000 0.0000 0.5000
```


Starting from a structure optimized by DFT (GGA-PBE), the PXRD pattern of Y2Th8O19 was simulated for λ = 1.5418 Å (Cu Kα).

Largest 12 diffraction maxima, low angle first, 10° ≤ 2θ ≤ 80°:
hkl  2theta  d [Å]  I_rel
1 0 5  27.6  3.229  100
1 1 0  32.0  2.797  36
2 0 0  45.9  1.978  50
2 1 5  54.4  1.687  43
1 0 15  54.5  1.685  4
2 0 10  57.0  1.615  10
2 2 0  66.9  1.399  6
0 0 20  67.0  1.397  2
3 0 5  73.8  1.283  16
2 1 15  73.9  1.282  3
1 3 0  76.1  1.251  4
3 1 0  76.1  1.251  8

Atomic structure:
```
data_Y2Th8O19
_chemical_formula_sum 'Y2 Th8 O19'
_cell_length_a 3.9565
_cell_length_b 3.9571
_cell_length_c 27.9403
_cell_angle_alpha 90.02
_cell_angle_beta 90.06
_cell_angle_gamma 90.00
_symmetry_space_group_name_H-M 'P 1'
_symmetry_Int_Tables_number 1
loop_
_symmetry_equiv_pos_as_xyz
'x,y,z'
loop_
_atom_site_label
_atom_site_type_symbol
_atom_site_fract_x
_atom_site_fract_y
_atom_site_fract_z
Y1 Y 0.0000 0.0000 0.0000
Y2 Y 0.4922 0.4919 0.1116
Th1 Th 0.4883 0.5019 0.7062
Th2 Th 0.4913 0.5024 0.5056
Th3 Th 0.4933 0.4998 0.9078
Th4 Th 0.4939 0.5012 0.3049
Th5 Th 0.9894 0.9999 0.8068
Th6 Th 0.9903 0.0028 0.6060
Th7 Th 0.9920 0.0018 0.4054
Th8 Th 0.9936 0.9984 0.2037
O1 O 0.4874 0.0009 0.7557
O2 O 0.4880 0.0033 0.0557
O3 O 0.4897 0.0028 0.6558
O4 O 0.4915 0.0019 0.4555
O5 O 0.4911 0.0026 0.5556
O6 O 0.4906 0.9988 0.8548
O7 O 0.4928 0.0015 0.3556
O8 O 0.4934 0.9958 0.1586
O9 O 0.4948 0.0003 0.2567
O10 O 0.4959 0.9996 0.9529
O11 O 0.9875 0.5006 0.7573
O12 O 0.9889 0.5030 0.6562
O13 O 0.9913 0.4991 0.8595
O14 O 0.9910 0.5017 0.4555
O15 O 0.9914 0.5028 0.5558
O16 O 0.9929 0.4953 0.1469
O17 O 0.9934 0.5014 0.3545
O18 O 0.9943 0.4998 0.2523
O19 O 0.9963 0.4998 0.9647
```